Entry 1:
The following is a simulated X-ray powder pattern of Nd8Sn3. It was derived from DFT lattice parameters and positions (GGA-PBE), using copper Kα.

Principal peaks in the range 2θ from 10° to 90°, by angle:
26.99 deg, d = 3.304 Å, I 32
27.12 deg, d = 3.288 Å, I 100
29.54 deg, d = 3.024 Å, I 36
29.72 deg, d = 3.006 Å, I 43
40.44 deg, d = 2.230 Å, I 15
40.64 deg, d = 2.220 Å, I 45
46.06 deg, d = 1.971 Å, I 12
46.21 deg, d = 1.965 Å, I 27
55.64 deg, d = 1.652 Å, I 12
55.92 deg, d = 1.644 Å, I 10

Structural model:
```
Nd8Sn3
1.0
5.1965 3.0002 4.2801
-5.1965 3.0002 4.2801
0.0000 -6.0004 4.2801
Nd Sn
8 3
Cartesian
0.0000 0.0000 1.8623
-0.8963 -2.1491 4.9928
-1.4131 1.8508 4.9928
-2.3094 -0.2984 7.8475
2.3093 0.2984 4.9928
1.4131 -1.8508 7.8475
0.8963 2.1491 7.8475
0.0000 0.0000 10.9780
-5.1965 0.0000 6.4201
-2.5982 1.5001 2.1400
2.5983 1.5001 2.1401
```

---

Entry 2:
The following is a simulated X-ray powder pattern of K3BiPCO7. It was derived from DFT lattice parameters and positions (GGA-PBE), using copper Kα.

Principal peaks in the range 2θ from 10° to 90°, by angle:
14.77 deg, d = 5.997 Å, I 92
15.07 deg, d = 5.880 Å, I 89
18.90 deg, d = 4.696 Å, I 60
24.59 deg, d = 3.620 Å, I 64
26.53 deg, d = 3.360 Å, I 61
28.81 deg, d = 3.099 Å, I 100
28.94 deg, d = 3.085 Å, I 71
29.80 deg, d = 2.998 Å, I 50
31.07 deg, d = 2.878 Å, I 50
35.77 deg, d = 2.510 Å, I 59

Structural model:
```
K3BiPCO7
1.0
6.3872 0.0000 0.0000
0.0000 7.2402 0.0000
-2.6923 0.0000 10.0790
K Bi P C O
6 2 2 2 14
Cartesian
1.1473 1.8100 0.6269
-0.4703 3.7272 7.0161
-0.4703 7.1331 7.0161
4.1652 0.1071 3.0628
4.1652 3.5130 3.0628
2.5476 5.4301 9.4520
0.9947 5.4301 3.2138
2.7002 1.8100 6.8652
0.9321 1.8100 3.9399
2.7628 5.4301 6.1391
2.2791 5.4301 0.3955
1.4158 1.8100 9.6835
1.0278 5.4301 0.8603
-0.0879 1.8100 5.0875
0.7278 0.5577 3.0052
0.7278 3.0624 3.0052
-0.2284 5.4301 9.2057
1.2737 5.4301 5.6359
0.4392 1.8100 8.8269
3.2557 5.4301 1.2521
2.4212 1.8100 4.4431
3.9233 1.8100 0.8733
2.9671 4.1777 7.0737
2.9671 6.6825 7.0737
3.7828 5.4301 4.9915
2.6671 1.8100 9.2187
```

---

Entry 3:
The following is a simulated X-ray powder pattern of Pm5Pr2Th. It was derived from DFT lattice parameters and positions (GGA-PBE), using copper Kα.

Principal peaks in the range 2θ from 10° to 90°, by angle:
29.91 deg, d = 2.987 Å, I 100
34.46 deg, d = 2.602 Å, I 17
34.77 deg, d = 2.580 Å, I 33
49.77 deg, d = 1.832 Å, I 24
50.00 deg, d = 1.824 Å, I 12
58.95 deg, d = 1.567 Å, I 15
59.36 deg, d = 1.557 Å, I 29
62.14 deg, d = 1.494 Å, I 12
80.88 deg, d = 1.189 Å, I 12
83.15 deg, d = 1.162 Å, I 6

Structural model:
```
Pm5Pr2Th
1.0
7.2923 0.0000 0.0000
0.0000 14.6022 0.0000
0.0000 0.0000 5.2047
Pm Pr Th
10 4 2
Cartesian
0.0000 0.0000 0.0000
0.0236 3.6791 0.0000
1.7603 9.0797 2.6023
1.8858 1.7786 2.6023
3.6226 10.9802 0.0000
3.6462 7.3011 0.0000
3.6698 3.6220 0.0000
5.4065 12.8236 2.6023
5.5320 5.5225 2.6023
7.2687 10.9231 0.0000
1.7913 5.5155 2.6023
1.8549 12.8166 2.6023
5.4374 1.7856 2.6023
5.5010 9.0867 2.6023
0.0000 7.3011 0.0000
3.6462 0.0000 0.0000
```